The following is a calculated powder X-ray diffraction pattern of LaMoO2. It was derived from DFT lattice parameters and positions (GGA+U), using copper Kα.

Most intense lines, 2θ from 10° to 90°, by intensity:
| d [Å] | Position (°2θ) | intensity |
| --- | --- | --- |
| 2.886 | 30.98 | 100 |
| 3.116 | 28.64 | 44 |
| 2.303 | 39.12 | 43 |
| 1.852 | 49.20 | 37 |
| 1.751 | 52.23 | 30 |
| 1.418 | 65.86 | 24 |
| 1.192 | 80.55 | 17 |
| 1.443 | 64.58 | 16 |
| 1.628 | 56.52 | 14 |
| 1.164 | 82.94 | 9 |

Structural model:
Unit cell a=6.513 b=6.513 c=12.466 alpha=90.00 beta=90.00 gamma=90.00
Space group I4_1/amd (No. 141, origin choice 2)
Asymmetric unit:
La 0.000 0.000 0.000 [8 per cell]
Mo 0.000 0.000 0.500 [8 per cell]
O 0.000 0.031 0.202 [16 per cell]

***

The following is a calculated powder X-ray diffraction pattern of La4Mo6O19. It was derived from DFT lattice parameters and positions (GGA+U), using copper Kα.

Most intense lines, 2θ from 10° to 90°, by intensity:
| d [Å] | Position (°2θ) | intensity |
| --- | --- | --- |
| 2.895 | 30.89 | 100 |
| 3.738 | 23.81 | 86 |
| 1.796 | 50.85 | 58 |
| 2.447 | 36.73 | 47 |
| 2.158 | 41.86 | 44 |
| 1.526 | 60.69 | 37 |
| 1.672 | 54.93 | 26 |
| 1.869 | 48.73 | 21 |
| 1.246 | 76.45 | 17 |
| 2.643 | 33.92 | 16 |

Structural model:
Unit cell a=9.155 b=9.155 c=9.155 alpha=90.00 beta=90.00 gamma=90.00
Space group I23 (No. 197)
Asymmetric unit:
La 0.156 0.156 0.844 [8 per cell]
Mo 0.000 0.360 0.500 [12 per cell]
O 0.000 0.000 0.000 [2 per cell]
O 0.000 0.000 0.324 [12 per cell]
O 0.036 0.335 0.288 [24 per cell]

***

The following is a calculated powder X-ray diffraction pattern of La2Mo2O9. It was derived from DFT lattice parameters and positions (GGA+U), using copper Kα.

Most intense lines, 2θ from 10° to 90°, by intensity:
| d [Å] | Position (°2θ) | intensity |
| --- | --- | --- |
| 3.261 | 27.35 | 100 |
| 3.321 | 26.85 | 45 |
| 3.214 | 27.75 | 36 |
| 3.236 | 27.57 | 36 |
| 3.654 | 24.36 | 33 |
| 3.026 | 29.52 | 30 |
| 3.279 | 27.20 | 25 |
| 2.929 | 30.52 | 25 |
| 1.943 | 46.75 | 24 |
| 1.989 | 45.61 | 23 |

Structural model:
Unit cell a=7.255 b=7.303 c=7.332 alpha=92.32 beta=90.38 gamma=90.60
Space group P1 (No. 1)
Asymmetric unit:
La 0.000 0.000 0.000 [1 per cell]
La 0.187 0.315 0.503 [1 per cell]
La 0.513 0.786 0.747 [1 per cell]
La 0.736 0.521 0.169 [1 per cell]
Mo 0.188 0.452 0.976 [1 per cell]
Mo 0.536 0.980 0.191 [1 per cell]
Mo 0.655 0.322 0.639 [1 per cell]
Mo 0.998 0.831 0.518 [1 per cell]
O 0.004 0.968 0.323 [1 per cell]
O 0.036 0.648 0.015 [1 per cell]
O 0.062 0.318 0.161 [1 per cell]
O 0.113 0.243 0.821 [1 per cell]
O 0.209 0.885 0.632 [1 per cell]
O 0.287 0.533 0.746 [1 per cell]
O 0.350 0.922 0.018 [1 per cell]
O 0.387 0.117 0.338 [1 per cell]
O 0.403 0.483 0.097 [1 per cell]
O 0.512 0.138 0.707 [1 per cell]
O 0.540 0.458 0.472 [1 per cell]
O 0.609 0.816 0.365 [1 per cell]
O 0.693 0.809 0.023 [1 per cell]
O 0.699 0.162 0.128 [1 per cell]
O 0.707 0.479 0.829 [1 per cell]
O 0.834 0.890 0.695 [1 per cell]
O 0.860 0.242 0.534 [1 per cell]
O 0.981 0.593 0.442 [1 per cell]

***

The following is a calculated powder X-ray diffraction pattern of La2MoO5. It was derived from DFT lattice parameters and positions (GGA+U), using copper Kα.

Most intense lines, 2θ from 10° to 90°, by intensity:
| d [Å] | Position (°2θ) | intensity |
| --- | --- | --- |
| 3.365 | 26.49 | 100 |
| 2.854 | 31.35 | 29 |
| 1.814 | 50.30 | 23 |
| 1.730 | 52.91 | 23 |
| 2.018 | 44.92 | 23 |
| 2.750 | 32.56 | 20 |
| 2.083 | 43.45 | 20 |
| 2.525 | 35.55 | 10 |
| 1.683 | 54.53 | 9 |
| 1.158 | 83.50 | 7 |

Structural model:
Unit cell a=9.024 b=9.024 c=6.094 alpha=90.00 beta=90.00 gamma=90.00
Space group I4/m (No. 87)
Asymmetric unit:
La 0.108 0.322 0.000 [8 per cell]
Mo 0.000 0.000 0.296 [4 per cell]
O 0.000 0.500 0.250 [4 per cell]
O 0.095 0.810 0.235 [16 per cell]

***

The following is a calculated powder X-ray diffraction pattern of LaPaMoO6. It was derived from DFT lattice parameters and positions (GGA+U), using copper Kα.

Most intense lines, 2θ from 10° to 90°, by intensity:
| d [Å] | Position (°2θ) | intensity |
| --- | --- | --- |
| 3.442 | 25.89 | 100 |
| 2.819 | 31.74 | 43 |
| 1.839 | 49.58 | 37 |
| 2.181 | 41.40 | 29 |
| 1.725 | 53.09 | 29 |
| 1.628 | 56.54 | 14 |
| 4.883 | 18.17 | 12 |
| 1.305 | 72.45 | 11 |
| 1.535 | 60.29 | 10 |
| 1.216 | 78.67 | 9 |

Structural model:
Unit cell a=5.6388 b=5.6388 c=4.8511 alpha=90.00 beta=90.00 gamma=120.00
Space group P312 (No. 149)
Asymmetric unit:
La 0.0000 0.0000 0.0000 [1 per cell]
Pa 0.6667 0.3333 0.5000 [1 per cell]
Mo 0.3333 0.6667 0.0000 [1 per cell]
O 0.0109 0.3761 0.2425 [6 per cell]

***

The following is a calculated powder X-ray diffraction pattern of RbLaMo2O8. It was derived from DFT lattice parameters and positions (GGA+U), using copper Kα.

Most intense lines, 2θ from 10° to 90°, by intensity:
| d [Å] | Position (°2θ) | intensity |
| --- | --- | --- |
| 3.351 | 26.60 | 100 |
| 3.246 | 27.48 | 36 |
| 1.894 | 48.04 | 35 |
| 1.956 | 46.42 | 24 |
| 2.295 | 39.25 | 15 |
| 1.675 | 54.79 | 13 |
| 1.279 | 74.17 | 11 |
| 1.452 | 64.15 | 9 |
| 1.232 | 77.45 | 9 |
| 1.539 | 60.10 | 9 |

Structural model:
Unit cell a=6.492 b=6.492 c=9.804 alpha=90.00 beta=90.00 gamma=90.00
Space group P4/nnc (No. 126, origin choice 2)
Asymmetric unit:
Rb 0.250 0.250 0.250 [2 per cell]
La 0.250 0.250 0.750 [2 per cell]
Mo 0.250 0.750 0.000 [4 per cell]
O 0.056 0.640 0.109 [16 per cell]